[1]
For ZnFeB2, a structure optimized by DFT (PBE) gives the calculated X-ray powder pattern in this record (λ = 1.5418 Å (Cu Kα)).
Peak positions follow from Bragg's law for the DFT cell and can differ from measured ones.

Main lines, by intensity (10° ≤ 2θ ≤ 90°):
38.83°, rel. 100; 24.51°, rel. 63; 53.22°, rel. 38; 59.14°, rel. 27; 52.91°, rel. 19; 50.25°, rel. 14; 75.96°, rel. 12; 76.22°, rel. 12; 83.33°, rel. 12; 78.10°, rel. 4

Structure:
abc: 7.664 7.664 7.664
angles: 153.90 153.90 37.25
Sites, in units of the cell vectors:
1 Zn 0.375 0.625 0.750
2 Zn 0.625 0.375 0.250
3 Fe 0.125 0.875 0.250
4 Fe 0.875 0.125 0.750
5 B 0.000 0.000 0.000
6 B 0.000 0.000 0.500
7 B 0.000 0.500 0.000
8 B 0.500 0.000 0.500

---

[2]
For Mg2Pd5Pt2, a structure optimized by DFT (PBE) gives the calculated X-ray powder pattern in this record (λ = 1.5418 Å (Cu Kα)).
Peak positions follow from Bragg's law for the DFT cell and can differ from measured ones.

Main lines, by intensity (10° ≤ 2θ ≤ 90°):
40.28°, rel. 100; 73.22°, rel. 27; 58.28°, rel. 18; 22.93°, rel. 13; 82.53°, rel. 12; 25.39°, rel. 9; 87.04°, rel. 6; 21.62°, rel. 5; 46.16°, rel. 4; 68.46°, rel. 3

Structure:
abc: 4.478 4.478 8.223
angles: 90.00 90.00 120.00
Sites, in units of the cell vectors:
1 Mg 0.000 0.000 0.179
2 Mg 0.000 0.000 0.821
3 Pd 0.000 0.000 0.500
4 Pd 0.333 0.667 0.334
5 Pd 0.333 0.667 0.666
6 Pd 0.667 0.333 0.164
7 Pd 0.667 0.333 0.836
8 Pt 0.333 0.667 0.000
9 Pt 0.667 0.333 0.500